No. 1
# Li7Co5O12
Computed X-ray diffraction stick pattern, copper Kα. Input: a PBE+U-relaxed structure.

Crystal structure
```
data_Li7Co5O12
_chemical_formula_sum 'Li14 Co10 O24'
_cell_length_a 4.909
_cell_length_b 8.490
_cell_length_c 9.610
_cell_angle_alpha 90.00
_cell_angle_beta 100.05
_cell_angle_gamma 90.00
_space_group_name_H-M_alt 'C 1 2/m 1'
_space_group_IT_number 12
loop_
_space_group_symop_operation_xyz
'x,y,z'
'-x,-y,-z'
'-x,y,-z'
'x,-y,z'
'x+1/2,y+1/2,z'
'-x+1/2,-y+1/2,-z'
'-x+1/2,y+1/2,-z'
'x+1/2,-y+1/2,z'
loop_
_atom_site_label
_atom_site_type_symbol
_atom_site_fract_x
_atom_site_fract_y
_atom_site_fract_z
Li1 Li 0.000 0.000 0.000
Li2 Li 0.244 0.000 0.751
Li3 Li 0.247 0.162 0.249
Co1 Co 0.000 0.164 0.500
Co2 Co 0.000 0.334 0.000
Co3 Co 0.000 0.500 0.500
O1 O 0.105 0.500 0.889
O2 O 0.129 0.000 0.390
O3 O 0.129 0.336 0.392
O4 O 0.146 0.180 0.888
```

Peak list (6 most intense, 2θ from 5° to 70°, low angle first)
2θ 9.35, I 15, hkl 0 0 1
2θ 18.76, I 100, hkl 0 0 2
2θ 37.20, I 36, hkl 1 3 -1
2θ 44.89, I 51, hkl 1 3 -3
2θ 45.00, I 25, hkl 2 0 2
2θ 65.97, I 20, hkl 0 6 0

=====

No. 2
# SmEuCrSnO6
Computed X-ray diffraction stick pattern, copper Kα. Input: a PBE+U-relaxed structure.

Crystal structure
```
data_SmEuCrSnO6
_chemical_formula_sum 'Sm4 Eu4 Cr4 Sn4 O24'
_cell_length_a 8.011
_cell_length_b 8.011
_cell_length_c 8.011
_cell_angle_alpha 90.00
_cell_angle_beta 90.00
_cell_angle_gamma 90.00
_space_group_name_H-M_alt 'F -4 3 m'
_space_group_IT_number 216
_space_group_name_Hall 'F -4 2 3'
loop_
_atom_site_label
_atom_site_type_symbol
_atom_site_fract_x
_atom_site_fract_y
_atom_site_fract_z
Sm1 Sm 0.000 0.000 0.000
Eu1 Eu 0.000 0.000 0.500
Cr1 Cr 0.250 0.250 0.750
Sn1 Sn 0.250 0.250 0.250
O1 O 0.003 0.250 0.750
```

Peak list (6 most intense, 2θ from 5° to 70°, low angle first)
2θ 22.19, I 5, hkl 2 0 0
2θ 31.59, I 100, hkl 2 2 0
2θ 38.94, I 10, hkl 2 2 2
2θ 45.28, I 30, hkl 4 0 0
2θ 56.25, I 40, hkl 4 2 2
2θ 65.96, I 19, hkl 4 4 0

=====

No. 3
# LiV2F7
Computed X-ray diffraction stick pattern, copper Kα. Input: a PBE+U-relaxed structure.

Crystal structure
```
data_LiV2F7
_chemical_formula_sum 'Li2 V4 F14'
_cell_length_a 5.551
_cell_length_b 5.191
_cell_length_c 10.307
_cell_angle_alpha 90.00
_cell_angle_beta 100.22
_cell_angle_gamma 90.00
_space_group_name_H-M_alt 'P 1 2/c 1'
_space_group_IT_number 13
loop_
_space_group_symop_operation_xyz
'x,y,z'
'-x,-y,-z'
'-x,y,-z+1/2'
'x,-y,z+1/2'
loop_
_atom_site_label
_atom_site_type_symbol
_atom_site_fract_x
_atom_site_fract_y
_atom_site_fract_z
Li1 Li 0.000 0.060 0.250
V1 V 0.429 0.249 0.573
F1 F 0.167 0.087 0.630
F2 F 0.282 0.441 0.984
F3 F 0.346 0.052 0.394
F4 F 0.500 0.421 0.750
```

Peak list (6 most intense, 2θ from 5° to 70°, low angle first)
2θ 16.23, I 100, hkl 1 0 0
2θ 17.49, I 42, hkl 0 0 2
2θ 19.21, I 37, hkl 0 1 1
2θ 24.20, I 40, hkl 1 1 -1
2θ 31.58, I 25, hkl 0 1 3
2θ 39.55, I 17, hkl 0 1 4

=====

No. 4
# CrAgO4
Computed X-ray diffraction stick pattern, copper Kα. Input: a PBE+U-relaxed structure.

Crystal structure
```
data_CrAgO4
_chemical_formula_sum 'Cr4 Ag4 O16'
_cell_length_a 5.812
_cell_length_b 8.809
_cell_length_c 8.610
_cell_angle_alpha 90.00
_cell_angle_beta 116.64
_cell_angle_gamma 90.00
_space_group_name_H-M_alt 'P 1 21/c 1'
_space_group_IT_number 14
loop_
_space_group_symop_operation_xyz
'x,y,z'
'-x,-y,-z'
'-x,y+1/2,-z+1/2'
'x,-y+1/2,z+1/2'
loop_
_atom_site_label
_atom_site_type_symbol
_atom_site_fract_x
_atom_site_fract_y
_atom_site_fract_z
Cr1 Cr 0.090 0.044 0.284
Ag1 Ag 0.361 0.708 0.601
O1 O 0.033 0.072 0.476
O2 O 0.186 0.532 0.392
O3 O 0.246 0.197 0.280
O4 O 0.265 0.610 0.815
```

Peak list (6 most intense, 2θ from 5° to 70°, low angle first)
2θ 19.84, I 49, hkl 1 1 0
2θ 23.98, I 60, hkl 1 1 -2
2θ 25.26, I 62, hkl 0 1 2
2θ 25.67, I 44, hkl 1 2 -1
2θ 26.56, I 100, hkl 1 2 0
2θ 29.80, I 35, hkl 1 2 -2

=====

No. 5
# FeBiO3
Computed X-ray diffraction stick pattern, copper Kα. Input: a PBE+U-relaxed structure.

Crystal structure
```
data_FeBiO3
_chemical_formula_sum 'Fe2 Bi2 O6'
_cell_length_a 8.094
_cell_length_b 6.451
_cell_length_c 5.388
_cell_angle_alpha 90.00
_cell_angle_beta 129.09
_cell_angle_gamma 90.00
_space_group_name_H-M_alt 'C 1 m 1'
_space_group_IT_number 8
loop_
_space_group_symop_operation_xyz
'x,y,z'
'x,-y,z'
'x+1/2,y+1/2,z'
'x+1/2,-y+1/2,z'
loop_
_atom_site_label
_atom_site_type_symbol
_atom_site_fract_x
_atom_site_fract_y
_atom_site_fract_z
Fe1 Fe 0.000 0.000 0.000
Bi1 Bi 0.498 0.000 0.199
O1 O 0.154 0.241 0.177
O2 O 0.212 0.500 0.699
```

Peak list (6 most intense, 2θ from 5° to 70°, low angle first)
2θ 19.72, I 68, hkl 1 1 0
2θ 21.24, I 83, hkl 0 0 1
2θ 21.50, I 100, hkl 1 1 -1
2θ 22.23, I 66, hkl 2 0 -1
2θ 27.65, I 43, hkl 0 2 0
2θ 35.76, I 47, hkl 2 2 -1

=====

No. 6
# MgFe8O8F8
Computed X-ray diffraction stick pattern, copper Kα. Input: a PBE+U-relaxed structure.

Crystal structure
```
data_MgFe8O8F8
_chemical_formula_sum 'Mg1 Fe8 O8 F8'
_cell_length_a 3.083
_cell_length_b 9.608
_cell_length_c 9.793
_cell_angle_alpha 89.91
_cell_angle_beta 89.71
_cell_angle_gamma 89.75
_space_group_name_H-M_alt 'P 1'
_space_group_IT_number 1
loop_
_space_group_symop_operation_xyz
'x,y,z'
loop_
_atom_site_label
_atom_site_type_symbol
_atom_site_fract_x
_atom_site_fract_y
_atom_site_fract_z
Mg1 Mg 0.000 0.000 0.000
Fe1 Fe 0.028 0.740 0.498
Fe2 Fe 0.032 0.736 0.996
Fe3 Fe 0.034 0.272 0.500
Fe4 Fe 0.054 0.276 0.001
Fe5 Fe 0.510 0.995 0.751
Fe6 Fe 0.511 0.007 0.245
Fe7 Fe 0.539 0.473 0.252
Fe8 Fe 0.540 0.471 0.751
O1 O 0.012 0.894 0.828
O2 O 0.014 0.108 0.170
O3 O 0.037 0.393 0.345
O4 O 0.039 0.392 0.841
O5 O 0.502 0.127 0.916
O6 O 0.514 0.875 0.086
O7 O 0.533 0.348 0.593
O8 O 0.547 0.360 0.090
F1 F 0.016 0.899 0.349
F2 F 0.018 0.099 0.646
F3 F 0.037 0.594 0.653
F4 F 0.038 0.597 0.160
F5 F 0.523 0.143 0.415
F6 F 0.523 0.857 0.588
F7 F 0.532 0.640 0.391
F8 F 0.537 0.633 0.890
```

Peak list (6 most intense, 2θ from 5° to 70°, low angle first)
2θ 25.98, I 100, hkl 0 2 -2
2θ 34.29, I 17, hkl 1 0 2
2θ 34.47, I 31, hkl 1 0 -2
2θ 51.42, I 15, hkl -1 2 4
2θ 51.75, I 20, hkl 1 4 -2
2θ 53.44, I 21, hkl 0 4 4